1.
This entry pairs a crystal structure of YTm2ThSc with its simulated powder diffractogram. Radiation: Cu Kα X-rays. Structure: the PBE geometry in Alexandria.

The 6 most intense peaks (10 to 90 degrees two-theta), in order of rising 2θ:
11.4°, I = 366, (1 0 0); 31.3°, I = 1000, (1 1 -2); 31.6°, I = 965, (2 1 1); 36.3°, I = 333, (0 2 0); 36.7°, I = 330, (1 0 3); 52.4°, I = 348, (3 2 -1)

Unit cell a=7.7626 b=4.9553 c=7.7819 alpha=90.00 beta=90.65 gamma=90.00
Element x y z (fractional)
1 Y 0.2494 0.2500 0.2462
2 Y 0.7506 0.7500 0.7538
3 Tm 0.1585 0.7500 0.9474
4 Tm 0.3470 0.7500 0.5517
5 Tm 0.6530 0.2500 0.4483
6 Tm 0.8415 0.2500 0.0526
7 Th 0.0540 0.2500 0.6498
8 Th 0.9460 0.7500 0.3502
9 Sc 0.4503 0.2500 0.8514
10 Sc 0.5497 0.7500 0.1486

=====

2.
This entry pairs a crystal structure of Ho4Si3Rh with its simulated powder diffractogram. Radiation: Cu Kα X-rays. Structure: the PBE geometry in Alexandria.

The 6 most intense peaks (10 to 90 degrees two-theta), in order of rising 2θ:
28.7°, I = 452, (1 0 2); 32.7°, I = 1000, (1 1 1); 33.0°, I = 512, (0 1 3); 33.7°, I = 281, (0 0 4); 40.7°, I = 363, (1 1 3); 42.8°, I = 236, (0 2 0)

Unit cell a=3.8321 b=4.2215 c=10.6401 alpha=90.00 beta=90.00 gamma=90.00
Element x y z (fractional)
1 Ho 0.0000 0.0000 0.0000
2 Ho 0.0000 0.5000 0.4948
3 Ho 0.5000 0.0000 0.2799
4 Ho 0.5000 0.5000 0.7807
5 Si 0.0000 0.0000 0.7073
6 Si 0.0000 0.5000 0.2127
7 Si 0.5000 0.0000 0.5617
8 Rh 0.5000 0.5000 0.0617